No. 1
Calculated powder X-ray diffraction pattern
Compound: NbGa3Co4
Radiation: copper Kα
Structure: a cell relaxed with PBE
Intensities are scaled so that the largest is 1000.

Peak list (6 most intense, 2θ = 15–90°, by angle)
| two_theta | I_rel | (hkl) |
| --- | --- | --- |
| 43.4 | 1000 | 1 1 0 |
| 43.7 | 977 | 0 1 8 |
| 63.3 | 305 | 2 0 8 |
| 79.7 | 152 | 3 0 0 |
| 79.9 | 302 | 1 2 8 |
| 80.6 | 147 | 1 0 16 |

Structural model:
```
data_NbGa3Co4
_cell_length_a 4.1673
_cell_length_b 4.1673
_cell_length_c 20.2117
_cell_angle_alpha 90.00
_cell_angle_beta 90.00
_cell_angle_gamma 120.00
_space_group_name_H-M_alt 'R -3 m'
_space_group_IT_number 166
_space_group_name_Hall '-R 3 2"'
loop_
_atom_site_label
_atom_site_type_symbol
_atom_site_fract_x
_atom_site_fract_y
_atom_site_fract_z
Nb1 Nb 0.0000 0.0000 0.0000
Ga1 Ga 0.0000 0.0000 0.2508
Ga2 Ga 0.0000 0.0000 0.5000
Co1 Co 0.0000 0.0000 0.1262
Co2 Co 0.0000 0.0000 0.3764
```

No. 2
Calculated powder X-ray diffraction pattern
Compound: PrCrC
Radiation: copper Kα
Structure: a cell relaxed with PBE
Intensities are scaled so that the largest is 1000.

Peak list (6 most intense, 2θ = 15–90°, by angle)
| two_theta | I_rel | (hkl) |
| --- | --- | --- |
| 28.3 | 1000 | 1 0 1 |
| 29.8 | 310 | 0 0 3 |
| 33.3 | 307 | 1 0 2 |
| 40.3 | 230 | 1 0 3 |
| 43.0 | 606 | 1 1 2 |
| 48.7 | 243 | 1 0 4 |

Structural model:
```
data_PrCrC
_cell_length_a 3.366
_cell_length_b 3.366
_cell_length_c 8.985
_cell_angle_alpha 90.00
_cell_angle_beta 90.00
_cell_angle_gamma 90.00
_space_group_name_H-M_alt 'P 4/n m m'
_space_group_IT_number 129
loop_
_space_group_symop_operation_xyz
'x,y,z'
'-x,-y,-z'
'-y+1/2,x,z'
'y+1/2,-x,-z'
'-x+1/2,-y+1/2,z'
'x+1/2,y+1/2,-z'
'y,-x+1/2,z'
'-y,x+1/2,-z'
'x+1/2,-y,-z'
'-x+1/2,y,z'
'-y,-x,-z'
'y,x,z'
'-x,y+1/2,-z'
'x,-y+1/2,z'
'y+1/2,x+1/2,-z'
'-y+1/2,-x+1/2,z'
loop_
_atom_site_label
_atom_site_type_symbol
_atom_site_fract_x
_atom_site_fract_y
_atom_site_fract_z
Pr1 Pr 0.250 0.250 0.205
Cr1 Cr 0.250 0.750 0.500
C1 C 0.250 0.250 0.642
```

No. 3
Calculated powder X-ray diffraction pattern
Compound: Pm2Sm5Ho12
Radiation: copper Kα
Structure: a cell relaxed with PBE
Intensities are scaled so that the largest is 1000.

Peak list (6 most intense, 2θ = 15–90°, by angle)
| two_theta | I_rel | (hkl) |
| --- | --- | --- |
| 30.7 | 1000 | 1 0 3 |
| 35.6 | 506 | 1 3 1 |
| 51.2 | 181 | 2 4 -3 |
| 51.3 | 180 | 3 1 2 |
| 60.9 | 108 | 2 -5 3 |
| 61.0 | 214 | 3 4 0 |

Structural model:
```
data_Pm2Sm5Ho12
_cell_length_a 6.172
_cell_length_b 9.446
_cell_length_c 10.678
_cell_angle_alpha 101.01
_cell_angle_beta 95.49
_cell_angle_gamma 90.12
_space_group_name_H-M_alt 'P -1'
_space_group_IT_number 2
loop_
_space_group_symop_operation_xyz
'x,y,z'
'-x,-y,-z'
loop_
_atom_site_label
_atom_site_type_symbol
_atom_site_fract_x
_atom_site_fract_y
_atom_site_fract_z
Pm1 Pm 0.080 0.316 0.474
Sm1 Sm 0.238 0.947 0.421
Sm2 Sm 0.342 0.368 0.052
Sm3 Sm 0.500 0.000 0.000
Ho1 Ho 0.026 0.105 0.157
Ho2 Ho 0.132 0.526 0.790
Ho3 Ho 0.184 0.737 0.105
Ho4 Ho 0.289 0.158 0.738
Ho5 Ho 0.396 0.579 0.368
Ho6 Ho 0.446 0.789 0.685
```

No. 4
Calculated powder X-ray diffraction pattern
Compound: Sr2Br3
Radiation: copper Kα
Structure: a cell relaxed with PBE
Intensities are scaled so that the largest is 1000.

Peak list (6 most intense, 2θ = 15–90°, by angle)
| two_theta | I_rel | (hkl) |
| --- | --- | --- |
| 15.5 | 390 | 0 1 2 |
| 26.2 | 923 | 1 1 3 |
| 32.7 | 1000 | 1 1 6 |
| 41.5 | 261 | 1 1 9 |
| 41.6 | 482 | 3 0 0 |
| 63.1 | 309 | 3 0 12 |

Structural model:
```
data_Sr2Br3
_cell_length_a 7.5223
_cell_length_b 7.5223
_cell_length_c 24.0374
_cell_angle_alpha 90.00
_cell_angle_beta 90.00
_cell_angle_gamma 120.00
_space_group_name_H-M_alt 'R -3 c'
_space_group_IT_number 167
_space_group_name_Hall '-R 3 2"c'
loop_
_atom_site_label
_atom_site_type_symbol
_atom_site_fract_x
_atom_site_fract_y
_atom_site_fract_z
Sr1 Sr 0.0000 0.0000 0.1589
Br1 Br 0.0000 0.3028 0.2500
```